No. 1
# ZnIn2Rh
Theoretical powder XRD pattern, Cu Kα X-rays. Input: a structure optimized by DFT (GGA-PBE).
Intensities are scaled so that the largest is 100.

Main lines, in order of rising 2θ (10 to 90 degrees two-theta):
2θ 24.16, I 4
2θ 37.53, I 100
2θ 38.29, I 1
2θ 41.85, I 18
2θ 44.48, I 31
2θ 62.71, I 21
2θ 64.72, I 10
2θ 73.57, I 13
2θ 77.29, I 23
2θ 80.10, I 10

Structure:
Cell lengths 4.0739, 4.0739, 8.6351 Å; angles 90.00, 90.00, 90.00 degrees
Atoms (fractional coordinates):
1 Zn 0.0000 0.0000 0.0000
2 Zn 0.5000 0.5000 0.5000
3 In 0.0000 0.0000 0.5000
4 In 0.0000 0.5000 0.7500
5 In 0.5000 0.0000 0.2500
6 In 0.5000 0.5000 0.0000
7 Rh 0.0000 0.5000 0.2500
8 Rh 0.5000 0.0000 0.7500

=====

No. 2
# B7C3
Theoretical powder XRD pattern, Cu Kα X-rays. Input: a structure optimized by DFT (GGA-PBE).
Intensities are scaled so that the largest is 100.

Main lines, in order of rising 2θ (10 to 90 degrees two-theta):
2θ 37.92, I 21
2θ 41.14, I 100
2θ 45.90, I 8
2θ 66.35, I 14
2θ 70.74, I 27
2θ 71.20, I 5
2θ 73.73, I 6
2θ 83.18, I 8
2θ 85.24, I 9
2θ 88.52, I 5

Structure:
Cell lengths 11.9617, 11.9617, 11.9617 Å; angles 12.78, 12.78, 12.78 degrees
Atoms (fractional coordinates):
1 B 0.0000 0.0000 0.0000
2 B 0.0477 0.0477 0.0477
3 B 0.1786 0.1786 0.1786
4 B 0.2312 0.2312 0.2312
5 B 0.5892 0.5892 0.5892
6 B 0.6369 0.6369 0.6369
7 B 0.7916 0.7916 0.7916
8 C 0.4017 0.4017 0.4017
9 C 0.4421 0.4421 0.4421
10 C 0.8414 0.8414 0.8414

=====

No. 3
# Ac7In2Ga2
Theoretical powder XRD pattern, Cu Kα X-rays. Input: a structure optimized by DFT (GGA-PBE).
Intensities are scaled so that the largest is 100.

Main lines, in order of rising 2θ (10 to 90 degrees two-theta):
2θ 24.05, I 36
2θ 24.50, I 60
2θ 26.31, I 100
2θ 29.66, I 70
2θ 30.11, I 22
2θ 31.17, I 28
2θ 32.39, I 58
2θ 33.67, I 97
2θ 41.26, I 50
2θ 50.64, I 27

Structure:
Cell lengths 7.2847, 7.2847, 8.6077 Å; angles 90.00, 90.00, 111.55 degrees
Atoms (fractional coordinates):
1 Ac 0.0000 0.0000 0.0000
2 Ac 0.0000 0.5000 0.2956
3 Ac 0.0000 0.5000 0.7044
4 Ac 0.5000 0.0000 0.2956
5 Ac 0.5000 0.0000 0.7044
6 Ac 0.5000 0.5000 0.2770
7 Ac 0.5000 0.5000 0.7230
8 In 0.2989 0.7011 0.0000
9 In 0.7011 0.2989 0.0000
10 Ga 0.1582 0.1582 0.5000
11 Ga 0.8418 0.8418 0.5000

=====

Number 2 is which compound?
B7C3